Computed X-ray diffraction stick pattern of K2TmHf2Te6 for Cu Kα X-rays, from a DFT-relaxed cell (GGA-PBE, Alexandria).

Largest 10 diffraction maxima, sorted by position, 10° ≤ 2θ ≤ 90°:
d [Å]  two_theta  I/Imax
8.545  10.35  100
3.159  28.25  77
3.136  28.47  38
2.580  34.77  24
2.406  37.38  13
2.395  37.55  27
2.094  43.21  14
2.087  43.36  26
1.956  46.41  15
1.741  52.56  20

Cell and atoms:
```
11
Lattice="3.6109 -6.2808 0.0000 3.6109 6.2808 0.0000 -2.3414 0.0000 8.5448" Properties=species:S:1:pos:R:3 pbc="T T T"
K 3.6109 4.2463 0.0000
K 3.6109 -4.2463 0.0000
Tm -1.1707 0.0000 4.2724
Hf 2.4402 2.1094 4.2724
Hf 2.4402 -2.1094 4.2724
Te 0.0821 2.1548 5.9961
Te 1.3513 0.0000 2.5569
Te 0.0821 -2.1548 5.9961
Te 4.7983 2.1548 2.5487
Te 3.5290 0.0000 5.9879
Te 4.7983 -2.1548 2.5487
```